Record 1
Diffraction record for Ti4Pd6Pt7. The X-ray diffraction stick pattern is calculated, not measured: it uses DFT lattice parameters and positions (PBE) and CuKα.

Crystal structure
Lattice parameters (Å, degrees): 8.2390 8.2390 8.2390 90.00 90.00 90.00
Space group Im-3m (No. 229)
Symmetry-distinct sites (fractional):
Ti 0.2500 0.2500 0.2500 (multiplicity 8)
Pd 0.0000 0.0000 0.2981 (multiplicity 12)
Pt 0.0000 0.0000 0.0000 (multiplicity 2)
Pt 0.0000 0.2500 0.5000 (multiplicity 12)

Top 10 peaks for 2θ from 10° to 90°, low angle first:
4.120 Å, I 44.6, (2 0 0)
3.364 Å, I 18.5, (2 1 1)
2.378 Å, I 100.0, (2 2 2)
2.202 Å, I 43.2, (3 2 1)
2.060 Å, I 72.3, (4 0 0)
1.757 Å, I 23.3, (3 3 2)
1.456 Å, I 41.0, (4 4 0)
1.242 Å, I 27.9, (6 2 2)
1.215 Å, I 13.8, (6 3 1)
1.121 Å, I 15.1, (6 3 3)

---

Record 2
Diffraction record for Ti4PdPt2. The X-ray diffraction stick pattern is calculated, not measured: it uses DFT lattice parameters and positions (PBE) and CuKα.

Crystal structure
Lattice parameters (Å, degrees): 7.8170 7.8170 7.8335 90.00 90.00 90.00
Space group I-42d (No. 122)
Symmetry-distinct sites (fractional):
Ti 0.0699 0.1728 0.3116 (multiplicity 16)
Pd 0.0000 0.0000 0.0000 (multiplicity 4)
Pt 0.1480 0.2500 0.6250 (multiplicity 8)

Top 10 peaks for 2θ from 10° to 90°, low angle first:
3.194 Å, I 94.2, (1 1 2)
2.473 Å, I 100.0, (3 0 1)
2.091 Å, I 69.1, (3 2 1)
1.749 Å, I 35.5, (4 0 2)
1.668 Å, I 23.2, (3 2 3)
1.535 Å, I 13.5, (3 1 4)
1.533 Å, I 18.9, (4 3 1)
1.270 Å, I 15.0, (1 1 6)
1.268 Å, I 17.5, (5 3 2)
1.207 Å, I 14.8, (5 1 4)

---

Record 3
Diffraction record for Tl3Pd12Pt. The X-ray diffraction stick pattern is calculated, not measured: it uses DFT lattice parameters and positions (PBE) and CuKα.

Crystal structure
Lattice parameters (Å, degrees): 4.0388 4.0388 16.2730 90.00 90.00 90.00
Space group P4/mmm (No. 123)
Symmetry-distinct sites (fractional):
Tl 0.0000 0.0000 0.0000 (multiplicity 1)
Tl 0.0000 0.0000 0.2538 (multiplicity 2)
Pd 0.0000 0.5000 0.1279 (multiplicity 4)
Pd 0.0000 0.5000 0.3813 (multiplicity 4)
Pd 0.5000 0.5000 0.0000 (multiplicity 1)
Pd 0.5000 0.5000 0.2559 (multiplicity 2)
Pd 0.5000 0.5000 0.5000 (multiplicity 1)
Pt 0.0000 0.0000 0.5000 (multiplicity 1)

Top 10 peaks for 2θ from 10° to 90°, low angle first:
4.039 Å, I 5.8, (1 0 0)
2.866 Å, I 5.1, (1 0 4)
2.337 Å, I 100.0, (1 1 4)
2.034 Å, I 16.0, (0 0 8)
2.019 Å, I 32.7, (2 0 0)
1.433 Å, I 20.5, (2 0 8)
1.428 Å, I 10.6, (2 2 0)
1.225 Å, I 11.6, (1 1 12)
1.219 Å, I 24.8, (3 1 4)
1.169 Å, I 10.6, (2 2 8)

---

Record 4
Diffraction record for Tl2Pd7Pt2. The X-ray diffraction stick pattern is calculated, not measured: it uses DFT lattice parameters and positions (PBE) and CuKα.

Crystal structure
Lattice parameters (Å, degrees): 6.9217 8.9609 6.9495 90.00 90.00 90.00
Space group Cmmm (No. 65)
Symmetry-distinct sites (fractional):
Tl 0.0000 0.1965 0.0000 (multiplicity 4)
Pd 0.0000 0.0000 0.3008 (multiplicity 4)
Pd 0.0000 0.5000 0.0000 (multiplicity 2)
Pd 0.2500 0.2500 0.3004 (multiplicity 8)
Pt 0.1756 0.5000 0.5000 (multiplicity 4)

Top 10 peaks for 2θ from 10° to 90°, low angle first:
3.766 Å, I 38.7, (0 2 1)
3.098 Å, I 57.3, (2 0 1)
2.743 Å, I 21.7, (1 3 0)
2.240 Å, I 27.6, (0 4 0)
2.152 Å, I 100.0, (2 2 2)
2.058 Å, I 16.6, (0 2 3)
1.766 Å, I 28.3, (3 3 1)
1.372 Å, I 17.0, (0 6 2)
1.181 Å, I 24.0, (2 6 3)
1.106 Å, I 17.3, (3 3 5)

---

Record 5
Diffraction record for Tl2Pd3Pt2. The X-ray diffraction stick pattern is calculated, not measured: it uses DFT lattice parameters and positions (PBE) and CuKα.

Crystal structure
Lattice parameters (Å, degrees): 9.0768 3.9514 8.0680 90.00 115.48 90.00
Space group C2/m (No. 12)
Symmetry-distinct sites (fractional):
Tl 0.0020 0.0000 0.2745 (multiplicity 4)
Pd 0.0000 0.5000 0.0000 (multiplicity 2)
Pd 0.2453 0.5000 0.3715 (multiplicity 4)
Pt 0.2461 0.0000 0.1201 (multiplicity 4)

Top 10 peaks for 2θ from 10° to 90°, low angle first:
7.283 Å, I 20.6, (0 0 1)
3.559 Å, I 22.0, (1 1 0)
2.336 Å, I 100.0, (1 1 2)
2.313 Å, I 98.5, (3 1 -2)
2.048 Å, I 35.4, (4 0 0)
2.017 Å, I 29.7, (2 0 -4)
1.976 Å, I 31.7, (0 2 0)
1.422 Å, I 21.8, (4 2 0)
1.411 Å, I 18.8, (2 2 -4)
1.224 Å, I 13.1, (7 1 -2)

---

Record 6
Diffraction record for TlPd6Pt23. The X-ray diffraction stick pattern is calculated, not measured: it uses DFT lattice parameters and positions (PBE) and CuKα.

Crystal structure
Lattice parameters (Å, degrees): 7.8911 7.8911 15.7383 90.00 90.00 90.00
Space group I4/mmm (No. 139)
Symmetry-distinct sites (fractional):
Tl 0.0000 0.0000 0.0000 (multiplicity 2)
Pd 0.0000 0.0000 0.2494 (multiplicity 4)
Pd 0.2491 0.2491 0.5000 (multiplicity 8)
Pt 0.0000 0.0000 0.5000 (multiplicity 2)
Pt 0.0000 0.2524 0.3719 (multiplicity 16)
Pt 0.0000 0.2597 0.1311 (multiplicity 16)
Pt 0.0000 0.5000 0.0000 (multiplicity 4)
Pt 0.2500 0.2500 0.2500 (multiplicity 8)

Top 10 peaks for 2θ from 10° to 90°, low angle first:
3.936 Å, I 3.1, (0 0 4)
3.527 Å, I 9.1, (2 0 2)
2.276 Å, I 100.0, (2 2 4)
1.973 Å, I 32.9, (4 0 0)
1.967 Å, I 15.9, (0 0 8)
1.395 Å, I 10.7, (4 4 0)
1.393 Å, I 20.7, (4 0 8)
1.189 Å, I 25.4, (6 2 4)
1.187 Å, I 12.0, (2 2 12)
1.138 Å, I 11.0, (4 4 8)